[1]
# CrH5O4
Calculated XRD peak list, Cu Kα (λ = 1.5418 Å). Input: the PBE+U geometry in Alexandria.
No peak broadening, texture or thermal motion is included.

Main lines, low angle first (10 to 80 degrees two-theta):
hkl 0 0 1, 5.765 Å, 15.37°, I 100; hkl 1 0 0, 4.271 Å, 20.80°, I 30; hkl 1 0 -2, 2.679 Å, 33.45°, I 28; hkl 1 1 0, 2.503 Å, 35.87°, I 27; hkl 1 1 1, 2.195 Å, 41.13°, I 38; hkl 0 1 3, 1.631 Å, 56.41°, I 15

Atomic structure:
```
data_CrH5O4
_chemical_formula_sum 'Cr1 H5 O4'
_cell_length_a 4.378
_cell_length_b 3.090
_cell_length_c 5.911
_cell_angle_alpha 90.00
_cell_angle_beta 102.73
_cell_angle_gamma 90.00
_symmetry_space_group_name_H-M 'P 1 m 1'
_symmetry_Int_Tables_number 6
_symmetry_space_group_name_Hall 'P -2y'
loop_
_atom_site_label
_atom_site_fract_x
_atom_site_fract_y
_atom_site_fract_z
Cr1 0.000 0.000 0.000
H1 0.363 0.000 0.677
H2 0.525 0.500 0.932
H3 0.590 0.241 0.241
H4 0.998 0.000 0.539
O1 0.146 0.000 0.694
O2 0.283 0.500 0.129
O3 0.714 0.500 0.862
O4 0.757 0.000 0.275
```

***

[2]
# VCrP2H2O10
Calculated XRD peak list, Cu Kα (λ = 1.5418 Å). Input: the PBE+U geometry in Alexandria.
No peak broadening, texture or thermal motion is included.

Main lines, low angle first (10 to 80 degrees two-theta):
hkl 0 1 0, 4.900 Å, 18.10°, I 100; hkl 1 0 0, 4.734 Å, 18.75°, I 56; hkl 1 -1 1, 3.365 Å, 26.49°, I 70; hkl 1 0 -2, 3.326 Å, 26.81°, I 95; hkl 0 1 -2, 3.307 Å, 26.96°, I 95; hkl 1 1 0, 3.017 Å, 29.61°, I 89

Atomic structure:
```
data_VCrP2H2O10
_chemical_formula_sum 'V1 Cr1 P2 H2 O10'
_cell_length_a 5.180
_cell_length_b 5.320
_cell_length_c 7.317
_cell_angle_alpha 106.76
_cell_angle_beta 108.20
_cell_angle_gamma 99.11
_symmetry_space_group_name_H-M 'P -1'
_symmetry_Int_Tables_number 2
_symmetry_space_group_name_Hall '-P 1'
loop_
_atom_site_label
_atom_site_fract_x
_atom_site_fract_y
_atom_site_fract_z
V1 0.000 0.000 0.000
Cr1 0.000 0.000 0.500
P1 0.333 0.669 0.755
H1 0.333 0.971 0.307
O1 0.122 0.937 0.255
O2 0.140 0.711 0.882
O3 0.260 0.373 0.619
O4 0.324 0.869 0.638
O5 0.354 0.245 0.086
```

***

[3]
# CrHPdO
Calculated XRD peak list, Cu Kα (λ = 1.5418 Å). Input: the PBE+U geometry in Alexandria.
No peak broadening, texture or thermal motion is included.

Main lines, low angle first (10 to 80 degrees two-theta):
hkl 0 1 1, 2.802 Å, 31.94°, I 87; hkl 1 0 1, 2.789 Å, 32.09°, I 91; hkl 0 0 4, 2.742 Å, 32.66°, I 100; hkl 0 1 3, 2.271 Å, 39.69°, I 56; hkl 1 1 0, 2.044 Å, 44.31°, I 86; hkl 1 1 4, 1.639 Å, 56.12°, I 78

Atomic structure:
```
data_CrHPdO
_chemical_formula_sum 'Cr2 H2 Pd2 O2'
_cell_length_a 2.884
_cell_length_b 2.898
_cell_length_c 10.966
_cell_angle_alpha 90.00
_cell_angle_beta 90.00
_cell_angle_gamma 90.00
_symmetry_space_group_name_H-M 'I m m 2'
_symmetry_Int_Tables_number 44
_symmetry_space_group_name_Hall 'I 2 -2'
loop_
_atom_site_label
_atom_site_fract_x
_atom_site_fract_y
_atom_site_fract_z
Cr1 0.000 0.000 0.000
H1 0.000 0.500 0.181
Pd1 0.000 0.000 0.265
O1 0.000 0.000 0.485
```

***

[4]
# CrHPdO
Calculated XRD peak list, Cu Kα (λ = 1.5418 Å). Input: the PBE+U geometry in Alexandria.
No peak broadening, texture or thermal motion is included.

Main lines, low angle first (10 to 80 degrees two-theta):
hkl 0 0 2, 2.874 Å, 31.11°, I 83; hkl 1 0 0, 2.829 Å, 31.63°, I 100; hkl 1 0 1, 2.538 Å, 35.36°, I 34; hkl 1 0 2, 2.016 Å, 44.96°, I 75; hkl 1 1 0, 2.000 Å, 45.33°, I 55; hkl 1 1 2, 1.642 Å, 56.01°, I 56

Atomic structure:
```
data_CrHPdO
_chemical_formula_sum 'Cr1 H1 Pd1 O1'
_cell_length_a 2.829
_cell_length_b 2.829
_cell_length_c 5.749
_cell_angle_alpha 90.00
_cell_angle_beta 90.00
_cell_angle_gamma 90.00
_symmetry_space_group_name_H-M 'P 4/m m m'
_symmetry_Int_Tables_number 123
_symmetry_space_group_name_Hall '-P 4 2'
loop_
_atom_site_label
_atom_site_fract_x
_atom_site_fract_y
_atom_site_fract_z
Cr1 0.000 0.000 0.000
H1 0.500 0.500 0.500
Pd1 0.000 0.000 0.500
O1 0.500 0.500 0.000
```